Record 1
Starting from a cell relaxed with PBE, the XRD peak list of Mg2CdHg was simulated for Cu Kα (λ = 1.5418 Å).
No peak broadening, texture or thermal motion is included.

The 11 most intense peaks (10 to 80 degrees two-theta), by angle:
h k l, 2theta, I (rel.)
1 1 1, 22.1, 12
2 0 0, 25.5, 64
2 2 0, 36.4, 100
3 1 1, 43.0, 7
2 2 2, 45.0, 19
4 0 0, 52.4, 17
3 3 1, 57.5, 3
4 2 0, 59.2, 25
4 2 2, 65.5, 35
5 1 1, 70.0, 3
4 4 0, 77.3, 11

Atomic structure:
abc: 6.9814 6.9814 6.9814
angles: 90.00 90.00 90.00
Space group Fm-3m (No. 225)
Asymmetric unit:
Mg1 0.2500 0.2500 0.2500 x8
Cd1 0.0000 0.0000 0.0000 x4
Hg1 0.0000 0.0000 0.5000 x4


Record 2
Starting from a cell relaxed with PBE, the XRD peak list of MnCdHgTe3 was simulated for Cu Kα (λ = 1.5418 Å).
No peak broadening, texture or thermal motion is included.

The 12 most intense peaks (10 to 80 degrees two-theta), by angle:
h k l, 2theta, I (rel.)
2 0 -1, 15.0, 5
2 0 1, 23.6, 100
0 2 0, 38.9, 14
6 0 0, 39.1, 66
2 2 1, 46.0, 25
7 1 -1, 46.2, 20
6 2 0, 56.3, 9
8 0 1, 62.0, 11
1 3 2, 70.5, 9
7 1 2, 70.7, 9
11 1 -2, 70.8, 6
7 3 -1, 75.6, 6

Atomic structure:
abc: 15.2799 4.6319 6.5068
angles: 90.00 115.09 90.00
Space group Cm (No. 8)
Asymmetric unit:
Mn1 0.0000 0.0000 0.0000 x2
Cd1 0.3348 0.0000 0.3392 x2
Hg1 0.1659 0.5000 0.6709 x2
Te1 0.9996 0.5000 0.7735 x2
Te2 0.1608 0.0000 0.4039 x2
Te3 0.3403 0.5000 0.0865 x2


Record 3
Starting from a cell relaxed with PBE, the XRD peak list of Na2CdHg was simulated for Cu Kα (λ = 1.5418 Å).
No peak broadening, texture or thermal motion is included.

The 12 most intense peaks (10 to 80 degrees two-theta), by angle:
h k l, 2theta, I (rel.)
1 1 1, 20.5, 12
2 0 0, 23.7, 64
2 2 0, 33.7, 100
3 1 1, 39.8, 7
2 2 2, 41.6, 20
4 0 0, 48.5, 18
3 3 1, 53.1, 3
4 2 0, 54.6, 27
4 2 2, 60.4, 37
4 4 0, 71.0, 11
5 3 1, 74.8, 3
6 0 0, 76.0, 13

Atomic structure:
abc: 7.5129 7.5129 7.5129
angles: 90.00 90.00 90.00
Space group Fm-3m (No. 225)
Asymmetric unit:
Na1 0.2500 0.2500 0.2500 x8
Cd1 0.0000 0.0000 0.0000 x4
Hg1 0.0000 0.0000 0.5000 x4


Record 4
Starting from a cell relaxed with PBE, the XRD peak list of NdCdHg2 was simulated for Cu Kα (λ = 1.5418 Å).
No peak broadening, texture or thermal motion is included.

The 8 most intense peaks (10 to 80 degrees two-theta), by angle:
h k l, 2theta, I (rel.)
2 0 0, 24.2, 5
2 2 0, 34.4, 100
2 2 2, 42.5, 2
4 0 0, 49.5, 18
4 2 0, 55.8, 3
4 2 2, 61.7, 37
4 4 0, 72.6, 12
6 0 0, 77.8, 1

Atomic structure:
abc: 7.3680 7.3680 7.3680
angles: 90.00 90.00 90.00
Space group Fm-3m (No. 225)
Asymmetric unit:
Nd1 0.0000 0.0000 0.0000 x4
Cd1 0.0000 0.0000 0.5000 x4
Hg1 0.2500 0.2500 0.2500 x8